# MgCr2Ni2O8
Theoretical powder diffraction line list, Cu Ka. Input: a structure optimized by DFT (PBE+U).
No peak broadening, texture or thermal motion is included.

Structure:
```
MgCr2Ni2O8
1.0
5.1641 0.0000 0.0000
2.2423 4.7341 0.0000
0.3574 0.3241 6.1653
Mg Cr Ni O
1 2 2 8
Direct
0.0000 0.0000 0.0000 Mg
0.1808 0.1619 0.2999 Cr
0.8192 0.8381 0.7001 Cr
0.5000 0.5000 0.0000 Ni
0.5000 0.5000 0.5000 Ni
0.2025 0.7349 0.7492 O
0.2615 0.2632 0.5230 O
0.2719 0.7883 0.2468 O
0.2729 0.2658 0.0571 O
0.7271 0.7342 0.9429 O
0.7281 0.2117 0.7532 O
0.7385 0.7368 0.4770 O
0.7975 0.2651 0.2508 O
```

Most intense lines, 2θ = 10–90°, by angle:
| 2theta | I_rel |
| --- | --- |
| 20.27 | 40 |
| 23.57 | 28 |
| 24.29 | 70 |
| 25.83 | 64 |
| 32.19 | 100 |
| 34.44 | 62 |
| 34.90 | 40 |
| 35.38 | 35 |
| 35.59 | 37 |
| 41.21 | 34 |
| 47.22 | 38 |
| 48.22 | 32 |

# MgCo7O12
Theoretical powder diffraction line list, Cu Ka. Input: a structure optimized by DFT (PBE+U).
No peak broadening, texture or thermal motion is included.

Structure:
```
MgCo7O12
1.0
4.9450 0.0000 0.0000
2.4623 4.4569 0.0000
2.2626 -0.2404 9.5022
Mg Co O
1 7 12
Direct
0.0000 0.0000 0.0000 Mg
0.1355 0.2966 0.7349 Co
0.2475 0.6087 0.4700 Co
0.2555 0.0029 0.2432 Co
0.4621 0.6291 0.7362 Co
0.6952 0.6208 0.0032 Co
0.7996 0.9654 0.7321 Co
0.9485 0.6331 0.2450 Co
0.0084 0.2998 0.1345 O
0.0459 0.6682 0.8675 O
0.1867 0.9226 0.6250 O
0.1906 0.3429 0.3461 O
0.2777 0.7010 0.1258 O
0.4057 0.9595 0.8429 O
0.4941 0.3186 0.6310 O
0.5393 0.6867 0.3501 O
0.6641 0.9193 0.1308 O
0.7566 0.3154 0.8563 O
0.8879 0.6024 0.6255 O
0.9509 0.9178 0.3570 O
```

Most intense lines, 2θ = 10–90°, by angle:
| 2theta | I_rel |
| --- | --- |
| 18.68 | 92 |
| 19.93 | 51 |
| 24.58 | 37 |
| 24.83 | 46 |
| 37.68 | 28 |
| 37.84 | 56 |
| 42.49 | 100 |
| 43.47 | 97 |
| 46.08 | 79 |
| 62.28 | 27 |
| 62.54 | 25 |
| 64.79 | 49 |

# MoO4
Theoretical powder diffraction line list, Cu Ka. Input: a structure optimized by DFT (PBE+U).
No peak broadening, texture or thermal motion is included.

Structure:
```
MoO4
1.0
3.7737 0.0000 0.0000
1.7605 6.4544 0.0000
0.2288 3.3211 6.9760
Mo O
2 8
Direct
0.2452 0.0374 0.2962 Mo
0.7548 0.9626 0.7038 Mo
0.0876 0.3840 0.3144 O
0.1799 0.2062 0.0516 O
0.2705 0.9379 0.6286 O
0.3753 0.7605 0.3200 O
0.6247 0.2395 0.6800 O
0.7295 0.0621 0.3714 O
0.8201 0.7938 0.9484 O
0.9124 0.6160 0.6856 O
```

Most intense lines, 2θ = 10–90°, by angle:
| 2theta | I_rel |
| --- | --- |
| 12.69 | 20 |
| 15.05 | 30 |
| 15.20 | 100 |
| 23.43 | 14 |
| 25.54 | 22 |
| 26.15 | 28 |
| 26.64 | 30 |
| 27.64 | 13 |
| 28.80 | 19 |
| 30.13 | 14 |
| 38.72 | 14 |
| 42.60 | 13 |

# Li2CoW2O8
Theoretical powder diffraction line list, Cu Ka. Input: a structure optimized by DFT (PBE+U).
No peak broadening, texture or thermal motion is included.

Structure:
```
Li2CoW2O8
1.0
5.0430 0.0000 0.0000
2.4907 5.1119 0.0000
0.1306 2.1026 5.5472
Li Co W O
2 1 2 8
Direct
0.0416 0.4189 0.2491 Li
0.9584 0.5811 0.7509 Li
0.5000 0.5000 0.5000 Co
0.2679 0.9749 0.8382 W
0.7321 0.0251 0.1618 W
0.1698 0.7783 0.1672 O
0.2461 0.7458 0.6942 O
0.2733 0.2613 0.5772 O
0.3175 0.2190 0.0436 O
0.6825 0.7810 0.9564 O
0.7267 0.7387 0.4228 O
0.7539 0.2542 0.3058 O
0.8302 0.2217 0.8328 O
```

Most intense lines, 2θ = 10–90°, by angle:
| 2theta | I_rel |
| --- | --- |
| 15.98 | 30 |
| 18.56 | 100 |
| 19.76 | 56 |
| 23.23 | 46 |
| 23.65 | 50 |
| 27.30 | 59 |
| 28.02 | 57 |
| 28.65 | 40 |
| 32.30 | 97 |
| 34.80 | 25 |
| 35.58 | 55 |
| 40.19 | 31 |

# Al5Ni3O12
Theoretical powder diffraction line list, Cu Ka. Input: a structure optimized by DFT (PBE+U).
No peak broadening, texture or thermal motion is included.

Structure:
```
Al5Ni3O12
1.0
4.8782 -2.8923 0.0000
4.8782 2.8923 0.0000
-0.3559 0.0000 13.8612
Al Ni O
10 6 24
Direct
0.0061 0.0061 0.3753 Al
0.1618 0.1618 0.8412 Al
0.3252 0.3252 0.2911 Al
0.3337 0.3337 0.0472 Al
0.3393 0.3393 0.6611 Al
0.6607 0.6607 0.3389 Al
0.6663 0.6663 0.9528 Al
0.6748 0.6748 0.7089 Al
0.8382 0.8382 0.1588 Al
0.9939 0.9939 0.6247 Al
0.0000 0.5000 0.5000 Ni
0.1670 0.6687 0.8362 Ni
0.3313 0.8330 0.1638 Ni
0.5000 0.0000 0.5000 Ni
0.6687 0.1670 0.8362 Ni
0.8330 0.3313 0.1638 Ni
0.0087 0.0087 0.7548 O
0.0270 0.4831 0.7535 O
0.1572 0.6493 0.5897 O
0.1601 0.6682 0.0931 O
0.1637 0.1637 0.0926 O
0.1705 0.1705 0.5889 O
0.3219 0.3219 0.4205 O
0.3253 0.3253 0.9169 O
0.3318 0.8399 0.9069 O
0.3507 0.8428 0.4103 O
0.4831 0.0270 0.7535 O
0.4950 0.4950 0.7483 O
0.5050 0.5050 0.2517 O
0.5169 0.9730 0.2465 O
0.6493 0.1572 0.5897 O
0.6682 0.1601 0.0931 O
0.6747 0.6747 0.0831 O
0.6781 0.6781 0.5795 O
0.8295 0.8295 0.4111 O
0.8363 0.8363 0.9074 O
0.8399 0.3318 0.9069 O
0.8428 0.3507 0.4103 O
0.9730 0.5169 0.2465 O
0.9913 0.9913 0.2452 O
```

Most intense lines, 2θ = 10–90°, by angle:
| 2theta | I_rel |
| --- | --- |
| 19.17 | 90 |
| 22.56 | 25 |
| 31.28 | 30 |
| 36.64 | 100 |
| 37.62 | 30 |
| 37.74 | 23 |
| 44.56 | 54 |
| 46.06 | 24 |
| 59.22 | 25 |
| 64.43 | 16 |
| 65.92 | 29 |
| 66.12 | 29 |

# MgMn3O7
Theoretical powder diffraction line list, Cu Ka. Input: a structure optimized by DFT (PBE+U).
No peak broadening, texture or thermal motion is included.

Structure:
```
MgMn3O7
1.0
9.6107 0.0000 0.0000
0.0000 10.3904 0.0000
0.0000 0.0000 5.4565
Mg Mn O
4 12 28
Direct
0.0444 0.2500 0.1257 Mg
0.4556 0.7500 0.6257 Mg
0.5444 0.2500 0.3743 Mg
0.9556 0.7500 0.8743 Mg
0.2013 0.5283 0.7104 Mn
0.2013 0.9717 0.7104 Mn
0.2353 0.7500 0.2081 Mn
0.2647 0.2500 0.7081 Mn
0.2987 0.0283 0.2104 Mn
0.2987 0.4717 0.2104 Mn
0.7013 0.5283 0.7896 Mn
0.7013 0.9717 0.7896 Mn
0.7353 0.7500 0.2919 Mn
0.7647 0.2500 0.7919 Mn
0.7987 0.0283 0.2896 Mn
0.7987 0.4717 0.2896 Mn
0.0359 0.5902 0.7256 O
0.0359 0.9098 0.7256 O
0.0568 0.7500 0.1979 O
0.2094 0.1221 0.9552 O
0.2094 0.3779 0.9552 O
0.2188 0.1178 0.4799 O
0.2188 0.3822 0.4799 O
0.2812 0.6178 0.9799 O
0.2812 0.8822 0.9799 O
0.2906 0.6221 0.4552 O
0.2906 0.8779 0.4552 O
0.4432 0.2500 0.6979 O
0.4641 0.0902 0.2256 O
0.4641 0.4098 0.2256 O
0.5359 0.5902 0.7744 O
0.5359 0.9098 0.7744 O
0.5568 0.7500 0.3021 O
0.7094 0.1221 0.5448 O
0.7094 0.3779 0.5448 O
0.7188 0.1178 0.0201 O
0.7188 0.3822 0.0201 O
0.7812 0.6178 0.5201 O
0.7812 0.8822 0.5201 O
0.7906 0.6221 0.0448 O
0.7906 0.8779 0.0448 O
0.9432 0.2500 0.8021 O
0.9641 0.0902 0.2744 O
0.9641 0.4098 0.2744 O
```

Most intense lines, 2θ = 10–90°, by angle:
| 2theta | I_rel |
| --- | --- |
| 18.46 | 100 |
| 25.25 | 14 |
| 26.16 | 29 |
| 30.17 | 49 |
| 30.57 | 49 |
| 32.83 | 18 |
| 35.95 | 16 |
| 37.43 | 20 |
| 48.38 | 20 |
| 49.36 | 12 |
| 52.22 | 28 |
| 63.08 | 16 |

# SrTb2Fe2O7
Theoretical powder diffraction line list, Cu Ka. Input: a structure optimized by DFT (PBE+U).
No peak broadening, texture or thermal motion is included.

Structure:
```
SrTb2Fe2O7
1.0
5.5922 0.0000 0.0000
0.0000 5.5922 0.0000
0.0000 0.0000 19.6083
Sr Tb Fe O
4 8 8 28
Direct
0.2407 0.2407 0.0000 Sr
0.2593 0.7407 0.5000 Sr
0.7407 0.2593 0.5000 Sr
0.7593 0.7593 0.0000 Sr
0.2228 0.2228 0.1834 Tb
0.2228 0.2228 0.8166 Tb
0.2772 0.7228 0.3166 Tb
0.2772 0.7228 0.6834 Tb
0.7228 0.2772 0.3166 Tb
0.7228 0.2772 0.6834 Tb
0.7772 0.7772 0.1834 Tb
0.7772 0.7772 0.8166 Tb
0.2417 0.2417 0.3991 Fe
0.2417 0.2417 0.6009 Fe
0.2583 0.7417 0.1009 Fe
0.2583 0.7417 0.8991 Fe
0.7417 0.2583 0.1009 Fe
0.7417 0.2583 0.8991 Fe
0.7583 0.7583 0.3991 Fe
0.7583 0.7583 0.6009 Fe
0.0000 0.0000 0.0902 O
0.0000 0.0000 0.3689 O
0.0000 0.0000 0.6311 O
0.0000 0.0000 0.9098 O
0.0000 0.5000 0.1125 O
0.0000 0.5000 0.3875 O
0.0000 0.5000 0.6125 O
0.0000 0.5000 0.8875 O
0.1856 0.8144 0.2104 O
0.1856 0.8144 0.7896 O
0.2049 0.2049 0.5000 O
0.2951 0.7049 0.0000 O
0.3144 0.3144 0.2896 O
0.3144 0.3144 0.7104 O
0.5000 0.0000 0.1125 O
0.5000 0.0000 0.3875 O
0.5000 0.0000 0.6125 O
0.5000 0.0000 0.8875 O
0.5000 0.5000 0.1311 O
0.5000 0.5000 0.4098 O
0.5000 0.5000 0.5902 O
0.5000 0.5000 0.8689 O
0.6856 0.6856 0.2896 O
0.6856 0.6856 0.7104 O
0.7049 0.2951 0.0000 O
0.7951 0.7951 0.5000 O
0.8144 0.1856 0.2104 O
0.8144 0.1856 0.7896 O
```

Most intense lines, 2θ = 10–90°, by angle:
| 2theta | I_rel |
| --- | --- |
| 22.94 | 10 |
| 26.34 | 23 |
| 27.29 | 11 |
| 32.01 | 61 |
| 32.15 | 100 |
| 42.55 | 19 |
| 45.90 | 32 |
| 56.64 | 10 |
| 57.14 | 36 |
| 57.40 | 13 |
| 67.25 | 9 |
| 76.16 | 13 |